CsSmTe: computed powder diffraction line list (Cu Kα, 1.54184 Å), based on a cell relaxed with PBE.
Neutral-atom scattering factors, no anomalous dispersion.

Structural model:
Cell: 8.0426 8.0426 8.0426 Å, 90.00 90.00 90.00°
Positions (direct):
1 Cs 0.0000 0.0000 0.0000
2 Cs 0.0000 0.5000 0.5000
3 Cs 0.5000 0.0000 0.5000
4 Cs 0.5000 0.5000 0.0000
5 Sm 0.0000 0.0000 0.5000
6 Sm 0.0000 0.5000 0.0000
7 Sm 0.5000 0.0000 0.0000
8 Sm 0.5000 0.5000 0.5000
9 Te 0.2500 0.2500 0.2500
10 Te 0.2500 0.7500 0.7500
11 Te 0.7500 0.2500 0.7500
12 Te 0.7500 0.7500 0.2500

Top 8 peaks for 10° ≤ 2θ ≤ 90°, by angle:
d (Å), 2θ (°), Rel. int.
4.643, 19.11, 22
4.021, 22.11, 18
2.843, 31.46, 100
2.425, 37.07, 12
2.011, 45.09, 18
1.642, 56.02, 39
1.422, 65.67, 12
1.272, 74.64, 16

=====

CsSmTe4: computed powder diffraction line list (Cu Kα, 1.54184 Å), based on a cell relaxed with PBE.
Neutral-atom scattering factors, no anomalous dispersion.

Structural model:
Cell: 6.9403 6.9403 9.6871 Å, 90.00 90.00 90.00°
Positions (direct):
1 Cs 0.2500 0.2500 0.0000
2 Cs 0.7500 0.7500 0.0000
3 Sm 0.2500 0.2500 0.5000
4 Sm 0.7500 0.7500 0.5000
5 Te 0.1054 0.6054 0.3063
6 Te 0.1054 0.8946 0.6937
7 Te 0.3946 0.6054 0.6937
8 Te 0.3946 0.8946 0.3063
9 Te 0.6054 0.1054 0.6937
10 Te 0.6054 0.3946 0.3063
11 Te 0.8946 0.1054 0.3063
12 Te 0.8946 0.3946 0.6937

Top 8 peaks for 10° ≤ 2θ ≤ 90°, by angle:
d (Å), 2θ (°), Rel. int.
3.447, 25.84, 100
2.956, 30.24, 95
2.821, 31.72, 45
2.613, 34.32, 32
2.195, 41.13, 50
1.909, 47.63, 30
1.633, 56.32, 24
1.550, 59.63, 27

=====

CsSmYTe3: computed powder diffraction line list (Cu Kα, 1.54184 Å), based on a cell relaxed with PBE.
Neutral-atom scattering factors, no anomalous dispersion.

Structural model:
Cell: 9.0647 9.0647 12.0462 Å, 90.00 90.00 149.20°
Positions (direct):
1 Cs 0.2428 0.7572 0.7500
2 Cs 0.7572 0.2428 0.2500
3 Sm 0.5000 0.5000 0.0000
4 Sm 0.5000 0.5000 0.5000
5 Y 0.0342 0.9658 0.2500
6 Y 0.9658 0.0342 0.7500
7 Te 0.1216 0.8784 0.0432
8 Te 0.1216 0.8784 0.4568
9 Te 0.4359 0.5641 0.2500
10 Te 0.5641 0.4359 0.7500
11 Te 0.8784 0.1216 0.5432
12 Te 0.8784 0.1216 0.9568

Top 8 peaks for 10° ≤ 2θ ≤ 90°, by angle:
d (Å), 2θ (°), Rel. int.
8.739, 10.12, 52
3.711, 23.98, 33
3.545, 25.12, 100
3.160, 28.24, 44
3.012, 29.66, 40
2.560, 35.05, 53
2.407, 37.35, 32
2.021, 44.85, 31